No. 1
This entry pairs a crystal structure of Li3V5Cr2O12 with its theoretical X-ray diffraction stick pattern. Radiation: Cu Ka. Structure: a DFT-relaxed cell (GGA+U, Alexandria).

Cell: 5.227 5.227 9.943 Å, 95.73 95.73 121.33°
Fractional coordinates of all 22 atoms:
1 Li 0.000 0.000 0.000
2 Li 0.392 0.082 0.237
3 Li 0.918 0.608 0.763
4 V 0.072 0.405 0.237
5 V 0.163 0.837 0.500
6 V 0.503 0.497 0.500
7 V 0.595 0.928 0.763
8 V 0.643 0.357 0.000
9 Cr 0.323 0.677 0.000
10 Cr 0.836 0.164 0.500
11 O 0.049 0.698 0.120
12 O 0.128 0.137 0.387
13 O 0.221 0.562 0.613
14 O 0.302 0.951 0.880
15 O 0.341 0.385 0.117
16 O 0.438 0.779 0.387
17 O 0.558 0.199 0.613
18 O 0.615 0.659 0.883
19 O 0.686 0.086 0.118
20 O 0.801 0.442 0.387
21 O 0.863 0.872 0.613
22 O 0.914 0.314 0.882

Top 8 peaks for 10° ≤ 2θ ≤ 90°, sorted by position:
2θ = 18.23°, I = 52.1; 2θ = 19.48°, I = 26.2; 2θ = 23.66°, I = 39.9; 2θ = 36.77°, I = 24.7; 2θ = 42.20°, I = 100.0; 2θ = 43.87°, I = 47.1; 2θ = 62.43°, I = 25.6; 2θ = 62.57°, I = 24.2

No. 2
This entry pairs a crystal structure of Li4Cr5WO12 with its theoretical X-ray diffraction stick pattern. Radiation: Cu Ka. Structure: a DFT-relaxed cell (GGA+U, Alexandria).

Cell: 5.269 5.269 10.444 Å, 94.15 94.15 120.59°
Fractional coordinates of all 22 atoms:
1 Li 0.058 0.395 0.208
2 Li 0.395 0.058 0.208
3 Li 0.605 0.942 0.792
4 Li 0.942 0.605 0.792
5 Cr 0.000 0.000 0.000
6 Cr 0.167 0.833 0.500
7 Cr 0.337 0.663 0.000
8 Cr 0.663 0.337 0.000
9 Cr 0.833 0.167 0.500
10 W 0.500 0.500 0.500
11 O 0.042 0.697 0.103
12 O 0.138 0.476 0.400
13 O 0.204 0.204 0.595
14 O 0.303 0.958 0.897
15 O 0.353 0.353 0.104
16 O 0.476 0.138 0.400
17 O 0.524 0.862 0.600
18 O 0.647 0.647 0.896
19 O 0.697 0.042 0.103
20 O 0.796 0.796 0.405
21 O 0.862 0.524 0.600
22 O 0.958 0.303 0.897

Top 8 peaks for 10° ≤ 2θ ≤ 90°, sorted by position:
2θ = 17.16°, I = 100.0; 2θ = 34.59°, I = 18.0; 2θ = 34.74°, I = 16.0; 2θ = 35.89°, I = 19.9; 2θ = 41.66°, I = 19.6; 2θ = 44.92°, I = 15.3; 2θ = 54.41°, I = 10.0; 2θ = 61.32°, I = 10.2

No. 3
This entry pairs a crystal structure of Li4Y3CrO8 with its theoretical X-ray diffraction stick pattern. Radiation: Cu Ka. Structure: a DFT-relaxed cell (GGA+U, Alexandria).

Cell: 5.871 5.871 6.193 Å, 90.00 90.00 116.50°
Fractional coordinates of all 16 atoms:
1 Li 0.000 0.000 0.000
2 Li 0.000 0.500 0.246
3 Li 0.500 0.000 0.754
4 Li 0.500 0.500 0.500
5 Y 0.000 0.500 0.742
6 Y 0.500 0.000 0.258
7 Y 0.500 0.500 0.000
8 Cr 0.000 0.000 0.500
9 O 0.207 0.793 0.500
10 O 0.228 0.257 0.737
11 O 0.257 0.228 0.263
12 O 0.274 0.726 0.000
13 O 0.726 0.274 0.000
14 O 0.743 0.772 0.263
15 O 0.772 0.743 0.737
16 O 0.793 0.207 0.500

Top 8 peaks for 10° ≤ 2θ ≤ 90°, sorted by position:
2θ = 22.19°, I = 100.0; 2θ = 33.84°, I = 20.1; 2θ = 34.10°, I = 29.0; 2θ = 35.98°, I = 26.5; 2θ = 41.28°, I = 38.9; 2θ = 47.36°, I = 24.0; 2θ = 50.22°, I = 13.9; 2θ = 55.89°, I = 26.1